1.
Diffraction record for Ce3PaN6. The X-ray diffraction stick pattern is computed, not measured: it uses a cell relaxed with PBE and Cu Kα.
No peak broadening, texture or thermal motion is included.

Atomic structure:
```
Ce3PaN6
1.0
3.0276 1.7480 4.9456
-3.0276 1.7480 4.9456
0.0000 -3.4959 4.9456
Ce Pa N
3 1 6
direct
0.0000 0.0000 0.0000
0.2293 0.2293 0.2293
0.7306 0.7306 0.7306
0.5039 0.5039 0.5039
0.1289 0.3942 0.8156
0.3285 0.8846 0.6154
0.3942 0.8156 0.1289
0.6154 0.3285 0.8846
0.8156 0.1289 0.3942
0.8846 0.6154 0.3285
```

Largest 6 diffraction maxima, sorted by position, 2θ from 15° to 90°:
- 2θ 29.5, rel. 100
- 2θ 42.2, rel. 21
- 2θ 52.3, rel. 44
- 2θ 61.2, rel. 12
- 2θ 69.4, rel. 16
- 2θ 84.7, rel. 19

=====

2.
Diffraction record for Tm2ThMg2In2. The X-ray diffraction stick pattern is computed, not measured: it uses a cell relaxed with PBE and Cu Kα.
No peak broadening, texture or thermal motion is included.

Atomic structure:
```
Tm2ThMg2In2
1.0
2.5159 1.4526 8.5978
-2.5159 1.4526 8.5978
0.0000 -2.9052 8.5978
Tm Th Mg In
2 1 2 2
direct
0.1309 0.1309 0.1309
0.8691 0.8691 0.8691
0.0000 0.0000 0.0000
0.4085 0.4085 0.4085
0.5915 0.5915 0.5915
0.2610 0.2610 0.2610
0.7390 0.7390 0.7390
```

Largest 6 diffraction maxima, sorted by position, 2θ from 15° to 90°:
- 2θ 20.7, rel. 84
- 2θ 31.8, rel. 82
- 2θ 34.6, rel. 83
- 2θ 35.7, rel. 100
- 2θ 63.4, rel. 29
- 2θ 65.8, rel. 29

=====

3.
Diffraction record for Dy2Ga5Au3. The X-ray diffraction stick pattern is computed, not measured: it uses a cell relaxed with PBE and Cu Kα.
No peak broadening, texture or thermal motion is included.

Atomic structure:
```
Dy2Ga5Au3
1.0
-5.5102 5.9534 3.0238
5.5102 -5.9534 3.0238
5.5102 5.9534 -3.0238
Dy Ga Au
4 10 6
direct
0.1242 0.2460 0.3702
0.3758 0.7460 0.1219
0.6242 0.2540 0.8781
0.8758 0.7540 0.6298
0.0078 0.7500 0.2578
0.1209 0.6423 0.7632
0.2500 0.2500 0.0000
0.3791 0.1423 0.5214
0.4922 0.7500 0.7422
0.5078 0.2500 0.2578
0.6209 0.8577 0.4786
0.7500 0.7500 0.0000
0.8791 0.3577 0.2368
0.9922 0.2500 0.7422
0.1303 0.8663 0.9966
0.2500 0.7500 0.5000
0.3697 0.3663 0.7360
0.6303 0.6337 0.2640
0.7500 0.2500 0.5000
0.8697 0.1337 0.0034
```

Largest 6 diffraction maxima, sorted by position, 2θ from 15° to 90°:
- 2θ 32.2, rel. 99
- 2θ 33.8, rel. 77
- 2θ 34.2, rel. 74
- 2θ 42.6, rel. 100
- 2θ 46.4, rel. 62
- 2θ 83.7, rel. 26

=====

Repeat the second record exactly.
Diffraction record for Tm2ThMg2In2. The X-ray diffraction stick pattern is computed, not measured: it uses a cell relaxed with PBE and Cu Kα.
No peak broadening, texture or thermal motion is included.

Atomic structure:
```
Tm2ThMg2In2
1.0
2.5159 1.4526 8.5978
-2.5159 1.4526 8.5978
0.0000 -2.9052 8.5978
Tm Th Mg In
2 1 2 2
direct
0.1309 0.1309 0.1309
0.8691 0.8691 0.8691
0.0000 0.0000 0.0000
0.4085 0.4085 0.4085
0.5915 0.5915 0.5915
0.2610 0.2610 0.2610
0.7390 0.7390 0.7390
```

Largest 6 diffraction maxima, sorted by position, 2θ from 15° to 90°:
- 2θ 20.7, rel. 84
- 2θ 31.8, rel. 82
- 2θ 34.6, rel. 83
- 2θ 35.7, rel. 100
- 2θ 63.4, rel. 29
- 2θ 65.8, rel. 29